Entry 1:
For Li7MnAs4, a DFT-relaxed cell (GGA-PBE, the Materials Project) gives the calculated powder diffractogram in this record (copper Kα).
Kinematic intensities with the Lorentz-polarization factor, no thermal factor.

Peak list (8 most intense, 15 to 90 degrees two-theta, low angle first)
- 2θ = 25.2°, I = 100
- 2θ = 28.9°, I = 15
- 2θ = 29.6°, I = 9
- 2θ = 35.8°, I = 13
- 2θ = 41.4°, I = 18
- 2θ = 41.9°, I = 33
- 2θ = 49.1°, I = 23
- 2θ = 49.9°, I = 12

Structure:
```
Li7MnAs4
1.0
6.1698 0.0000 0.0000
0.0000 6.1698 0.0000
0.0000 0.0000 6.0312
Li Mn As
7 1 4
direct
0.0000 0.0000 0.0000
0.0000 0.5000 0.0000
0.0000 0.5000 0.5000
0.5000 0.0000 0.0000
0.5000 0.0000 0.5000
0.5000 0.5000 0.2695
0.5000 0.5000 0.7305
0.0000 0.0000 0.5000
0.2184 0.2184 0.2740
0.2184 0.7816 0.7260
0.7816 0.2184 0.7260
0.7816 0.7816 0.2740
```

Entry 2:
For LiMnAs, a DFT-relaxed cell (GGA-PBE, the Materials Project) gives the calculated powder diffractogram in this record (copper Kα).
Kinematic intensities with the Lorentz-polarization factor, no thermal factor.

Peak list (8 most intense, 15 to 90 degrees two-theta, low angle first)
- 2θ = 25.7°, I = 100
- 2θ = 29.7°, I = 1
- 2θ = 42.5°, I = 84
- 2θ = 50.3°, I = 45
- 2θ = 61.7°, I = 13
- 2θ = 67.9°, I = 18
- 2θ = 77.8°, I = 26
- 2θ = 83.5°, I = 13

Structure:
```
LiMnAs
1.0
6.0152 0.0000 0.0000
0.0000 6.0152 0.0000
0.0000 0.0000 6.0152
Li Mn As
4 4 4
direct
0.0000 0.0000 0.0000
0.0000 0.5000 0.5000
0.5000 0.0000 0.5000
0.5000 0.5000 0.0000
0.0000 0.0000 0.5000
0.0000 0.5000 0.0000
0.5000 0.0000 0.0000
0.5000 0.5000 0.5000
0.2500 0.2500 0.2500
0.2500 0.7500 0.7500
0.7500 0.2500 0.7500
0.7500 0.7500 0.2500
```

Entry 3:
For NaLi2As, a DFT-relaxed cell (GGA-PBE, the Materials Project) gives the calculated powder diffractogram in this record (copper Kα).
Kinematic intensities with the Lorentz-polarization factor, no thermal factor.

Peak list (8 most intense, 15 to 90 degrees two-theta, low angle first)
- 2θ = 18.7°, I = 100
- 2θ = 28.4°, I = 60
- 2θ = 34.2°, I = 86
- 2θ = 35.0°, I = 40
- 2θ = 37.1°, I = 96
- 2θ = 37.9°, I = 45
- 2θ = 45.0°, I = 66
- 2θ = 56.2°, I = 36

Structure:
```
NaLi2As
1.0
3.0539 0.0000 0.0000
0.0000 5.1309 0.0000
0.0000 0.0000 12.5787
Na Li As
2 4 2
direct
0.0000 0.0000 0.0000
0.5000 0.5000 0.5000
0.0000 0.0000 0.3063
0.0000 0.0000 0.6937
0.5000 0.5000 0.1937
0.5000 0.5000 0.8063
0.0000 0.0000 0.5000
0.5000 0.5000 0.0000
```

Entry 4:
For LiNbAs2, a DFT-relaxed cell (GGA-PBE, the Materials Project) gives the calculated powder diffractogram in this record (copper Kα).
Kinematic intensities with the Lorentz-polarization factor, no thermal factor.

Peak list (8 most intense, 15 to 90 degrees two-theta, low angle first)
- 2θ = 22.3°, I = 18
- 2θ = 26.3°, I = 100
- 2θ = 35.8°, I = 12
- 2θ = 42.6°, I = 50
- 2θ = 45.4°, I = 21
- 2θ = 48.2°, I = 17
- 2θ = 53.3°, I = 27
- 2θ = 82.0°, I = 14

Structure:
```
LiNbAs2
1.0
3.9916 0.0000 0.0000
0.0000 3.9916 0.0000
0.0000 0.0000 6.4361
Li Nb As
1 1 2
direct
0.0000 0.0000 0.0000
0.5000 0.5000 0.5000
0.0000 0.5000 0.2687
0.5000 0.0000 0.7313
```

Entry 5:
For LiNbAs2, a DFT-relaxed cell (GGA-PBE, the Materials Project) gives the calculated powder diffractogram in this record (copper Kα).
Kinematic intensities with the Lorentz-polarization factor, no thermal factor.

Peak list (8 most intense, 15 to 90 degrees two-theta, low angle first)
- 2θ = 28.7°, I = 41
- 2θ = 29.9°, I = 39
- 2θ = 31.2°, I = 31
- 2θ = 38.8°, I = 100
- 2θ = 39.1°, I = 84
- 2θ = 39.5°, I = 42
- 2θ = 52.2°, I = 32
- 2θ = 52.3°, I = 44

Structure:
```
LiNbAs2
1.0
4.6114 -1.7529 0.0000
4.6114 1.7529 0.0000
-2.5804 0.0000 27.1739
Li Nb As
6 6 12
direct
0.0000 0.0000 0.0000
0.0426 0.0426 0.2588
0.2754 0.2754 0.8334
0.3925 0.3925 0.0814
0.6479 0.6479 0.9136
0.6952 0.6952 0.1702
0.0122 0.0122 0.5063
0.3303 0.3303 0.5888
0.3745 0.3745 0.3419
0.6483 0.6483 0.6707
0.6956 0.6956 0.4226
0.9675 0.9675 0.7564
0.0469 0.0469 0.6030
0.0933 0.0933 0.3550
0.1047 0.1047 0.1006
0.2912 0.2912 0.9760
0.3592 0.3592 0.2278
0.3668 0.3668 0.6865
0.4137 0.4137 0.4383
0.6779 0.6779 0.7658
0.7004 0.7004 0.0370
0.7293 0.7293 0.5202
0.7361 0.7361 0.2790
0.9917 0.9917 0.8546
```

Entry 6:
For Li2NdAs2, a DFT-relaxed cell (GGA-PBE, the Materials Project) gives the calculated powder diffractogram in this record (copper Kα).
Kinematic intensities with the Lorentz-polarization factor, no thermal factor.

Peak list (8 most intense, 15 to 90 degrees two-theta, low angle first)
- 2θ = 27.2°, I = 100
- 2θ = 35.2°, I = 67
- 2θ = 42.2°, I = 39
- 2θ = 45.8°, I = 27
- 2θ = 50.9°, I = 18
- 2θ = 56.0°, I = 17
- 2θ = 69.1°, I = 15
- 2θ = 72.5°, I = 16

Structure:
```
Li2NdAs2
1.0
4.2864 0.0000 0.0000
-2.1432 3.7121 0.0000
0.0000 0.0000 7.0304
Li Nd As
2 1 2
direct
0.3333 0.6667 0.3759
0.6667 0.3333 0.6241
0.0000 0.0000 0.0000
0.3333 0.6667 0.7558
0.6667 0.3333 0.2442
```

Entry 7:
For Li3NdAs2, a DFT-relaxed cell (GGA-PBE, the Materials Project) gives the calculated powder diffractogram in this record (copper Kα).
Kinematic intensities with the Lorentz-polarization factor, no thermal factor.

Peak list (8 most intense, 15 to 90 degrees two-theta, low angle first)
- 2θ = 27.1°, I = 100
- 2θ = 35.3°, I = 69
- 2θ = 41.9°, I = 41
- 2θ = 46.1°, I = 21
- 2θ = 50.6°, I = 18
- 2θ = 55.9°, I = 18
- 2θ = 69.5°, I = 16
- 2θ = 72.2°, I = 17

Structure:
```
Li3NdAs2
1.0
4.3128 0.0000 0.0000
-2.1564 3.7350 0.0000
0.0000 0.0000 6.9530
Li Nd As
3 1 2
direct
0.0000 0.0000 0.0000
0.3333 0.6667 0.1445
0.6667 0.3333 0.8555
0.0000 0.0000 0.5000
0.3333 0.6667 0.7576
0.6667 0.3333 0.2424
```

Entry 8:
For Li8AsO3, a DFT-relaxed cell (GGA-PBE, the Materials Project) gives the calculated powder diffractogram in this record (copper Kα).
Kinematic intensities with the Lorentz-polarization factor, no thermal factor.

Peak list (8 most intense, 15 to 90 degrees two-theta, low angle first)
- 2θ = 17.4°, I = 51
- 2θ = 24.7°, I = 55
- 2θ = 30.4°, I = 100
- 2θ = 35.2°, I = 23
- 2θ = 39.6°, I = 38
- 2θ = 43.5°, I = 25
- 2θ = 50.7°, I = 54
- 2θ = 60.3°, I = 34

Structure:
```
Li8AsO3
1.0
5.0937 0.0000 0.0000
0.0000 5.0937 0.0000
0.0000 0.0000 5.0937
Li As O
8 1 3
direct
0.2313 0.2313 0.2313
0.2313 0.2313 0.7687
0.2313 0.7687 0.2313
0.2313 0.7687 0.7687
0.7687 0.2313 0.2313
0.7687 0.2313 0.7687
0.7687 0.7687 0.2313
0.7687 0.7687 0.7687
0.5000 0.5000 0.5000
0.0000 0.0000 0.5000
0.0000 0.5000 0.0000
0.5000 0.0000 0.0000
```

Entry 9:
For Li2Ti2AsPO10, a DFT-relaxed cell (GGA-PBE, the Materials Project) gives the calculated powder diffractogram in this record (copper Kα).
Kinematic intensities with the Lorentz-polarization factor, no thermal factor.

Peak list (8 most intense, 15 to 90 degrees two-theta, low angle first)
- 2θ = 16.7°, I = 26
- 2θ = 26.4°, I = 100
- 2θ = 26.6°, I = 38
- 2θ = 27.2°, I = 71
- 2θ = 30.0°, I = 29
- 2θ = 32.1°, I = 21
- 2θ = 38.5°, I = 32
- 2θ = 56.8°, I = 23

Structure:
```
Li2Ti2AsPO10
1.0
6.5453 0.0000 0.0000
0.0000 7.4589 0.0000
0.0000 0.0000 7.5859
Li Ti As P O
4 4 2 2 20
direct
0.2406 0.2398 0.0000
0.2406 0.7602 0.5000
0.7594 0.2398 0.0000
0.7594 0.7602 0.5000
0.0000 0.4699 0.3345
0.0000 0.5301 0.8345
0.5000 0.0301 0.6677
0.5000 0.9699 0.1677
0.5000 0.3807 0.3751
0.5000 0.6193 0.8751
0.0000 0.1279 0.6283
0.0000 0.8721 0.1283
0.0000 0.2434 0.4579
0.0000 0.2504 0.7944
0.0000 0.3938 0.1202
0.0000 0.6062 0.6202
0.0000 0.7496 0.2944
0.0000 0.7566 0.9579
0.1923 0.0060 0.6288
0.1923 0.9940 0.1288
0.2929 0.4809 0.8755
0.2929 0.5191 0.3755
0.5000 0.0820 0.8907
0.5000 0.2474 0.1896
0.5000 0.2655 0.5701
0.5000 0.7345 0.0701
0.5000 0.7526 0.6896
0.5000 0.9180 0.3907
0.7071 0.4809 0.8755
0.7071 0.5191 0.3755
0.8077 0.0060 0.6288
0.8077 0.9940 0.1288
```